[1]
Structure and theoretical PXRD pattern of InAu4 (a structure optimized by DFT (GGA-PBE); CuKα).
No peak broadening, texture or thermal motion is included.

Peak list (10 most intense, 10 to 90 degrees two-theta, in order of rising 2θ)
- 18.5°, intensity 50, (0 1 1)
- 23.9°, intensity 30, (1 0 -2)
- 33.8°, intensity 70, (1 1 -3)
- 37.2°, intensity 100, (1 0 2)
- 37.5°, intensity 82, (0 2 2)
- 37.8°, intensity 50, (1 0 -4)
- 38.2°, intensity 42, (1 2 -1)
- 39.5°, intensity 94, (1 2 0)
- 39.7°, intensity 40, (1 2 -2)
- 43.7°, intensity 39, (2 0 -2)

Unit cell a=4.145 b=5.725 c=9.684 alpha=90.00 beta=114.37 gamma=90.00
Space group P2_1/c (No. 14)
Unique sites:
In 0.000 0.000 0.000
Au 0.152 0.058 0.399
Au 0.486 0.219 0.734

[2]
Structure and theoretical PXRD pattern of Pr3RhBr3 (a structure optimized by DFT (GGA-PBE); CuKα).
No peak broadening, texture or thermal motion is included.

Peak list (10 most intense, 10 to 90 degrees two-theta, in order of rising 2θ)
- 10.3°, intensity 43, (1 1 0)
- 27.4°, intensity 14, (3 2 1)
- 29.4°, intensity 100, (4 0 0)
- 34.6°, intensity 10, (3 3 2)
- 37.7°, intensity 9, (5 1 0)
- 42.0°, intensity 70, (4 4 0)
- 52.1°, intensity 24, (4 4 4)
- 60.9°, intensity 10, (8 0 0)
- 69.1°, intensity 27, (8 4 0)
- 76.8°, intensity 19, (8 4 4)

Unit cell a=12.163 b=12.163 c=12.163 alpha=90.00 beta=90.00 gamma=90.00
Space group I4_132 (No. 214)
Unique sites:
Pr 0.110 0.360 0.125
Rh 0.125 0.125 0.125
Br 0.120 0.130 0.625

[3]
Structure and theoretical PXRD pattern of Cs2PmMgBr6 (a structure optimized by DFT (GGA-PBE); CuKα).
No peak broadening, texture or thermal motion is included.

Peak list (10 most intense, 10 to 90 degrees two-theta, in order of rising 2θ)
- 13.1°, intensity 19, (0 1 1)
- 21.5°, intensity 40, (2 0 0)
- 26.4°, intensity 77, (2 2 0)
- 30.6°, intensity 100, (2 0 2)
- 37.7°, intensity 19, (3 2 1)
- 43.8°, intensity 73, (4 0 0)
- 51.9°, intensity 34, (4 2 2)
- 54.4°, intensity 25, (4 4 0)
- 72.3°, intensity 27, (4 4 4)
- 80.5°, intensity 25, (6 4 2)

Unit cell a=8.263 b=11.703 c=8.267 alpha=90.00 beta=90.00 gamma=90.00
Space group Pmmn (No. 59, origin choice 2)
Unique sites:
Cs 0.250 0.000 0.249
Pm 0.250 0.250 0.750
Mg 0.250 0.750 0.750
Br 0.002 0.250 0.997
Br 0.003 0.250 0.502
Br 0.250 0.003 0.752

[4]
Structure and theoretical PXRD pattern of Na3Sn4Te8 (a structure optimized by DFT (GGA-PBE); CuKα).
No peak broadening, texture or thermal motion is included.

Peak list (10 most intense, 10 to 90 degrees two-theta, in order of rising 2θ)
- 12.1°, intensity 25, (1 1 0)
- 28.5°, intensity 100, (0 4 0)
- 28.8°, intensity 49, (4 0 -2)
- 39.8°, intensity 19, (4 0 0)
- 40.7°, intensity 38, (0 4 2)
- 41.0°, intensity 37, (4 4 -2)
- 42.1°, intensity 18, (4 0 -4)
- 49.7°, intensity 20, (4 4 0)
- 51.6°, intensity 20, (4 4 -4)
- 66.8°, intensity 17, (0 8 2)

Unit cell a=12.414 b=12.536 c=8.588 alpha=90.00 beta=133.16 gamma=90.00
Space group C2/m (No. 12)
Unique sites:
Na 0.000 0.000 0.000
Na 0.250 0.250 0.000
Sn 0.000 0.500 0.000
Sn 0.000 0.500 0.500
Sn 0.250 0.250 0.500
Te 0.000 0.256 0.000
Te 0.000 0.258 0.500
Te 0.226 0.500 0.972
Te 0.243 0.500 0.491

[5]
Structure and theoretical PXRD pattern of NdThPtSe (a structure optimized by DFT (GGA-PBE); CuKα).
No peak broadening, texture or thermal motion is included.

Peak list (10 most intense, 10 to 90 degrees two-theta, in order of rising 2θ)
- 11.6°, intensity 29, (0 0 3)
- 25.7°, intensity 24, (1 0 1)
- 26.5°, intensity 42, (0 1 2)
- 32.1°, intensity 100, (0 1 5)
- 37.5°, intensity 57, (1 0 7)
- 44.7°, intensity 56, (1 1 0)
- 56.1°, intensity 21, (2 0 5)
- 59.7°, intensity 15, (0 2 7)
- 67.3°, intensity 31, (1 1 12)
- 74.4°, intensity 19, (1 2 5)

Unit cell a=4.0563 b=4.0563 c=22.9325 alpha=90.00 beta=90.00 gamma=120.00
Space group R3m (No. 160, hexagonal axes)
Unique sites:
Nd 0.0000 0.0000 0.0000
Th 0.0000 0.0000 0.1626
Pt 0.0000 0.0000 0.7544
Se 0.0000 0.0000 0.5817

[6]
Structure and theoretical PXRD pattern of LiMnMo (a structure optimized by DFT (GGA-PBE); CuKα).
No peak broadening, texture or thermal motion is included.

Peak list (10 most intense, 10 to 90 degrees two-theta, in order of rising 2θ)
- 13.1°, intensity 100, (0 0 2)
- 37.3°, intensity 21, (1 1 1)
- 39.9°, intensity 18, (0 0 6)
- 41.8°, intensity 17, (0 2 0)
- 42.0°, intensity 64, (1 1 3)
- 44.0°, intensity 9, (0 2 2)
- 50.2°, intensity 20, (1 1 5)
- 59.2°, intensity 10, (0 2 6)
- 73.9°, intensity 9, (1 1 9)
- 76.5°, intensity 10, (1 3 3)

Unit cell a=2.974 b=4.317 c=13.558 alpha=90.00 beta=90.00 gamma=90.00
Space group Fmm2 (No. 42)
Unique sites:
Li 0.000 0.000 0.000
Mn 0.000 0.000 0.667
Mo 0.000 0.000 0.318

[7]
Structure and theoretical PXRD pattern of LaPm8Y2 (a structure optimized by DFT (GGA-PBE); CuKα).
No peak broadening, texture or thermal motion is included.

Peak list (10 most intense, 10 to 90 degrees two-theta, in order of rising 2θ)
- 29.2°, intensity 21, (1 1 4)
- 31.4°, intensity 100, (2 0 0)
- 31.9°, intensity 10, (1 0 5)
- 32.7°, intensity 12, (0 3 1)
- 33.4°, intensity 11, (0 0 6)
- 46.0°, intensity 9, (2 3 1)
- 46.5°, intensity 9, (2 0 6)
- 55.9°, intensity 19, (3 2 3)
- 61.7°, intensity 9, (2 3 7)
- 62.5°, intensity 9, (1 5 4)

Unit cell a=5.703 b=8.326 c=16.094 alpha=90.00 beta=90.00 gamma=90.00
Space group Immm (No. 71)
Unique sites:
La 0.000 0.000 0.000
Pm 0.000 0.206 0.500
Pm 0.000 0.296 0.138
Pm 0.000 0.500 0.336
Y 0.000 0.000 0.300

[8]
Structure and theoretical PXRD pattern of HoTlP2O8 (a structure optimized by DFT (GGA-PBE); CuKα).
No peak broadening, texture or thermal motion is included.

Peak list (10 most intense, 10 to 90 degrees two-theta, in order of rising 2θ)
- 19.4°, intensity 68, (1 0 1)
- 25.4°, intensity 100, (2 0 0)
- 32.2°, intensity 32, (2 1 1)
- 34.8°, intensity 66, (1 1 2)
- 36.3°, intensity 23, (2 2 0)
- 41.5°, intensity 22, (3 0 1)
- 49.3°, intensity 23, (3 2 1)
- 51.2°, intensity 54, (3 1 2)
- 64.3°, intensity 16, (3 3 2)
- 76.2°, intensity 14, (5 1 2)

Unit cell a=7.003 b=7.003 c=6.036 alpha=90.00 beta=90.00 gamma=90.00
Space group I-4m2 (No. 119)
Unique sites:
Ho 0.000 0.000 0.000
Tl 0.000 0.500 0.250
P 0.000 0.000 0.500
P 0.000 0.500 0.750
O 0.000 0.171 0.335
O 0.000 0.325 0.911

[9]
Structure and theoretical PXRD pattern of ScTeF6 (a structure optimized by DFT (GGA-PBE); CuKα).
No peak broadening, texture or thermal motion is included.

Peak list (10 most intense, 10 to 90 degrees two-theta, in order of rising 2θ)
- 19.1°, intensity 37, (1 0 0)
- 21.7°, intensity 100, (1 1 0)
- 22.0°, intensity 100, (0 1 1)
- 23.4°, intensity 94, (1 0 1)
- 27.2°, intensity 39, (1 0 -1)
- 28.4°, intensity 32, (0 1 -1)
- 36.6°, intensity 26, (2 1 0)
- 44.9°, intensity 31, (0 2 2)
- 45.3°, intensity 34, (-1 1 2)
- 45.5°, intensity 26, (1 2 -1)

Unit cell a=5.149 b=5.262 c=5.744 alpha=70.96 beta=74.70 gamma=65.53
Space group P-1 (No. 2)
Unique sites:
Sc 0.000 0.000 0.000
Te 0.500 0.500 0.500
F 0.090 0.341 0.791
F 0.308 0.881 0.230
F 0.309 0.761 0.758

[10]
Structure and theoretical PXRD pattern of ErTiSi2O8 (a structure optimized by DFT (GGA-PBE); CuKα).
No peak broadening, texture or thermal motion is included.

Peak list (10 most intense, 10 to 90 degrees two-theta, in order of rising 2θ)
- 18.8°, intensity 30, (1 1 0)
- 19.9°, intensity 79, (1 0 1)
- 26.7°, intensity 100, (2 0 0)
- 33.5°, intensity 32, (2 1 1)
- 35.4°, intensity 62, (1 1 2)
- 43.3°, intensity 26, (3 0 1)
- 47.3°, intensity 18, (1 0 3)
- 51.6°, intensity 23, (3 2 1)
- 53.0°, intensity 56, (3 1 2)
- 67.1°, intensity 18, (3 3 2)

Unit cell a=6.683 b=6.683 c=6.013 alpha=90.00 beta=90.00 gamma=90.00
Space group I-4m2 (No. 119)
Unique sites:
Er 0.000 0.000 0.000
Ti 0.000 0.500 0.750
Si 0.000 0.000 0.500
Si 0.000 0.500 0.250
O 0.000 0.195 0.669
O 0.000 0.324 0.063

[11]
Structure and theoretical PXRD pattern of Ba6NaPd (a structure optimized by DFT (GGA-PBE); CuKα).
No peak broadening, texture or thermal motion is included.

Peak list (10 most intense, 10 to 90 degrees two-theta, in order of rising 2θ)
- 11.8°, intensity 30, (2 0 0)
- 24.1°, intensity 32, (4 0 -2)
- 25.9°, intensity 100, (1 1 -4)
- 26.0°, intensity 50, (3 1 2)
- 33.4°, intensity 28, (4 2 -2)
- 33.5°, intensity 14, (5 1 1)
- 40.1°, intensity 26, (1 3 3)
- 43.4°, intensity 24, (5 1 -6)
- 47.3°, intensity 19, (5 3 1)
- 48.5°, intensity 18, (4 2 5)

Unit cell a=15.435 b=7.802 c=15.353 alpha=90.00 beta=102.15 gamma=90.00
Space group C2/c (No. 15)
Unique sites:
Ba 0.075 0.082 0.391
Ba 0.141 0.422 0.032
Ba 0.216 0.090 0.677
Na 0.000 0.419 0.750
Pd 0.250 0.250 0.500

[12]
Structure and theoretical PXRD pattern of ScTl2F11 (a structure optimized by DFT (GGA-PBE); CuKα).
No peak broadening, texture or thermal motion is included.

Peak list (10 most intense, 10 to 90 degrees two-theta, in order of rising 2θ)
- 16.8°, intensity 97, (0 0 2)
- 17.6°, intensity 38, (0 2 0)
- 21.9°, intensity 41, (1 1 2)
- 22.3°, intensity 78, (1 2 1)
- 24.4°, intensity 67, (0 2 2)
- 24.9°, intensity 100, (2 1 1)
- 32.9°, intensity 35, (1 2 3)
- 45.6°, intensity 40, (1 4 3)
- 46.1°, intensity 41, (3 3 2)
- 52.4°, intensity 25, (4 1 3)

Unit cell a=8.206 b=10.089 c=10.550 alpha=90.00 beta=90.00 gamma=90.00
Space group Ibam (No. 72)
Unique sites:
Sc 0.000 0.000 0.250
Tl 0.171 0.309 0.000
F 0.000 0.500 0.000
F 0.100 0.173 0.155
F 0.104 0.311 0.500
F 0.195 0.063 0.367